Entry 1:
Starting from a crystal structure in the Materials Project, relaxed with GGA+U, the X-ray powder pattern of LiFe2B2O6 was computed for copper Kα.
Peak positions follow from Bragg's law for the DFT cell and can differ from measured ones.

The 10 most intense peaks (15° ≤ 2θ ≤ 90°), most intense first:
- (1 0 2), 21.42°, 4.148 Å, rel. 100
- (0 0 8), 35.63°, 2.520 Å, rel. 68
- (1 0 -4), 26.16°, 3.407 Å, rel. 52
- (1 -1 0), 19.52°, 4.547 Å, rel. 48
- (0 1 4), 26.45°, 3.370 Å, rel. 35
- (1 0 0), 19.39°, 4.577 Å, rel. 31
- (1 -2 0), 34.02°, 2.635 Å, rel. 25
- (1 0 10), 49.62°, 1.837 Å, rel. 24
- (2 -1 0), 34.13°, 2.627 Å, rel. 23
- (1 1 0), 33.85°, 2.648 Å, rel. 21

Structure:
abc: 5.254 5.271 20.160
angles: 90.46 90.29 119.56
Space group P1 (No. 1)
Symmetry-distinct sites (fractional):
Li  0.000  0.000  0.000 [1 per cell]
Li  0.005  0.006  0.498 [1 per cell]
Li  0.677  0.710  0.626 [1 per cell]
Li  0.975  0.027  0.251 [1 per cell]
Fe  0.007  0.370  0.110 [1 per cell]
Fe  0.011  0.361  0.609 [1 per cell]
Fe  0.327  0.027  0.860 [1 per cell]
Fe  0.340  0.675  0.482 [1 per cell]
Fe  0.342  0.671  0.982 [1 per cell]
Fe  0.343  0.029  0.359 [1 per cell]
Fe  0.647  0.368  0.233 [1 per cell]
Fe  0.656  0.354  0.737 [1 per cell]
B  0.001  0.364  0.356 [1 per cell]
B  0.328  0.694  0.734 [1 per cell]
B  0.328  0.697  0.233 [1 per cell]
B  0.339  0.026  0.106 [1 per cell]
B  0.340  0.023  0.609 [1 per cell]
B  0.673  0.352  0.983 [1 per cell]
B  0.673  0.354  0.482 [1 per cell]
B  0.992  0.358  0.857 [1 per cell]
O  0.024  0.118  0.857 [1 per cell]
O  0.044  0.129  0.348 [1 per cell]
O  0.056  0.466  0.715 [1 per cell]
O  0.076  0.439  0.211 [1 per cell]
O  0.078  0.021  0.600 [1 per cell]
O  0.106  0.072  0.098 [1 per cell]
O  0.217  0.628  0.878 [1 per cell]
O  0.224  0.630  0.379 [1 per cell]
O  0.297  0.936  0.254 [1 per cell]
O  0.309  0.758  0.088 [1 per cell]
O  0.346  0.955  0.756 [1 per cell]
O  0.361  0.778  0.593 [1 per cell]
O  0.411  0.102  0.461 [1 per cell]
O  0.418  0.098  0.961 [1 per cell]
O  0.573  0.666  0.727 [1 per cell]
O  0.588  0.276  0.634 [1 per cell]
O  0.594  0.713  0.234 [1 per cell]
O  0.604  0.245  0.131 [1 per cell]
O  0.683  0.617  0.487 [1 per cell]
O  0.686  0.615  0.984 [1 per cell]
O  0.726  0.342  0.837 [1 per cell]
O  0.732  0.335  0.338 [1 per cell]
O  0.912  0.324  0.005 [1 per cell]
O  0.916  0.328  0.500 [1 per cell]



Entry 2:
Starting from a crystal structure in the Materials Project, relaxed with GGA+U, the X-ray powder pattern of LiFe2B2O6 was computed for copper Kα.
Peak positions follow from Bragg's law for the DFT cell and can differ from measured ones.

The 10 most intense peaks (15° ≤ 2θ ≤ 90°), most intense first:
- (0 0 4), 35.59°, 2.523 Å, rel. 100
- (1 1 -1), 21.48°, 4.137 Å, rel. 81
- (1 -1 0), 19.63°, 4.522 Å, rel. 74
- (0 2 -1), 21.54°, 4.125 Å, rel. 68
- (2 0 0), 34.11°, 2.629 Å, rel. 38
- (0 2 2), 26.09°, 3.415 Å, rel. 35
- (0 2 -5), 49.75°, 1.833 Å, rel. 35
- (1 1 2), 25.98°, 3.430 Å, rel. 33
- (1 -3 0), 34.33°, 2.612 Å, rel. 33
- (1 3 0), 33.83°, 2.650 Å, rel. 30

Structure:
abc: 5.259 9.119 10.094
angles: 88.90 89.25 89.04
Space group P1 (No. 1)
Symmetry-distinct sites (fractional):
Li  0.000  0.000  0.000 [1 per cell]
Li  0.003  0.001  0.489 [1 per cell]
Li  0.503  0.498  0.483 [1 per cell]
Li  0.855  0.840  0.739 [1 per cell]
Fe  0.007  0.340  0.959 [1 per cell]
Fe  0.343  0.668  0.716 [1 per cell]
Fe  0.353  0.006  0.216 [1 per cell]
Fe  0.496  0.175  0.464 [1 per cell]
Fe  0.513  0.820  0.967 [1 per cell]
Fe  0.841  0.508  0.215 [1 per cell]
Fe  0.855  0.179  0.711 [1 per cell]
Fe  0.988  0.675  0.457 [1 per cell]
B  0.007  0.338  0.459 [1 per cell]
B  0.019  0.670  0.958 [1 per cell]
B  0.336  0.671  0.216 [1 per cell]
B  0.350  0.995  0.706 [1 per cell]
B  0.497  0.838  0.464 [1 per cell]
B  0.504  0.167  0.963 [1 per cell]
B  0.840  0.511  0.714 [1 per cell]
B  0.841  0.172  0.205 [1 per cell]
O  0.079  0.662  0.249 [1 per cell]
O  0.087  0.997  0.699 [1 per cell]
O  0.264  0.347  0.463 [1 per cell]
O  0.268  0.660  0.911 [1 per cell]
O  0.350  0.959  0.417 [1 per cell]
O  0.354  0.289  0.951 [1 per cell]
O  0.366  0.712  0.507 [1 per cell]
O  0.396  0.034  0.007 [1 per cell]
O  0.429  0.805  0.171 [1 per cell]
O  0.478  0.864  0.747 [1 per cell]
O  0.494  0.553  0.229 [1 per cell]
O  0.495  0.112  0.668 [1 per cell]
O  0.585  0.517  0.689 [1 per cell]
O  0.593  0.158  0.251 [1 per cell]
O  0.755  0.847  0.471 [1 per cell]
O  0.769  0.168  0.933 [1 per cell]
O  0.858  0.462  0.420 [1 per cell]
O  0.882  0.209  0.497 [1 per cell]
O  0.889  0.802  0.947 [1 per cell]
O  0.907  0.544  0.011 [1 per cell]
O  0.928  0.308  0.162 [1 per cell]
O  0.956  0.386  0.765 [1 per cell]
O  0.983  0.635  0.679 [1 per cell]
O  0.999  0.051  0.198 [1 per cell]



Entry 3:
Starting from a crystal structure in the Materials Project, relaxed with GGA+U, the X-ray powder pattern of Li9Fe4B8O24 was computed for copper Kα.
Peak positions follow from Bragg's law for the DFT cell and can differ from measured ones.

The 10 most intense peaks (15° ≤ 2θ ≤ 90°), most intense first:
- (2 2 0), 30.80°, 2.903 Å, rel. 100
- (2 0 0), 23.40°, 3.802 Å, rel. 71
- (1 1 -1), 22.96°, 3.874 Å, rel. 54
- (2 0 -1), 29.02°, 3.077 Å, rel. 49
- (-1 1 1), 20.91°, 4.249 Å, rel. 43
- (0 2 -1), 29.14°, 3.064 Å, rel. 41
- (1 -1 0), 17.63°, 5.032 Å, rel. 36
- (2 0 2), 27.30°, 3.267 Å, rel. 34
- (2 0 3), 35.32°, 2.541 Å, rel. 33
- (1 1 0), 15.26°, 5.806 Å, rel. 33

Structure:
abc: 8.266 8.300 8.881
angles: 67.78 68.34 74.82
Space group P1 (No. 1)
Symmetry-distinct sites (fractional):
Li  0.000  0.000  0.000 [1 per cell]
Li  0.007  0.021  0.654 [1 per cell]
Li  0.221  0.504  0.879 [1 per cell]
Li  0.331  0.193  0.307 [1 per cell]
Li  0.338  0.818  0.471 [1 per cell]
Li  0.498  0.507  0.992 [1 per cell]
Li  0.657  0.003  0.109 [1 per cell]
Li  0.827  0.332  0.474 [1 per cell]
Li  0.835  0.682  0.308 [1 per cell]
Fe  0.331  0.854  0.113 [1 per cell]
Fe  0.351  0.180  0.663 [1 per cell]
Fe  0.831  0.354  0.112 [1 per cell]
Fe  0.851  0.680  0.665 [1 per cell]
B  0.054  0.061  0.299 [1 per cell]
B  0.125  0.461  0.477 [1 per cell]
B  0.290  0.819  0.816 [1 per cell]
B  0.389  0.216  0.964 [1 per cell]
B  0.555  0.560  0.291 [1 per cell]
B  0.624  0.962  0.467 [1 per cell]
B  0.802  0.308  0.822 [1 per cell]
B  0.892  0.725  0.953 [1 per cell]
O  0.023  0.500  0.374 [1 per cell]
O  0.079  0.563  0.582 [1 per cell]
O  0.100  0.975  0.178 [1 per cell]
O  0.142  0.019  0.415 [1 per cell]
O  0.203  0.994  0.786 [1 per cell]
O  0.263  0.326  0.478 [1 per cell]
O  0.304  0.725  0.717 [1 per cell]
O  0.329  0.287  0.821 [1 per cell]
O  0.352  0.740  0.958 [1 per cell]
O  0.365  0.321  0.057 [1 per cell]
O  0.414  0.694  0.295 [1 per cell]
O  0.467  0.040  0.009 [1 per cell]
O  0.540  0.995  0.350 [1 per cell]
O  0.571  0.060  0.577 [1 per cell]
O  0.598  0.472  0.173 [1 per cell]
O  0.656  0.521  0.394 [1 per cell]
O  0.727  0.485  0.801 [1 per cell]
O  0.763  0.824  0.481 [1 per cell]
O  0.823  0.212  0.986 [1 per cell]
O  0.851  0.230  0.703 [1 per cell]
O  0.856  0.814  0.064 [1 per cell]
O  0.867  0.811  0.792 [1 per cell]
O  0.916  0.202  0.294 [1 per cell]
O  0.962  0.545  0.989 [1 per cell]



Entry 4:
Starting from a crystal structure in the Materials Project, relaxed with GGA+U, the X-ray powder pattern of LiFe2B2O6 was computed for copper Kα.
Peak positions follow from Bragg's law for the DFT cell and can differ from measured ones.

The 10 most intense peaks (15° ≤ 2θ ≤ 90°), most intense first:
- (1 1 -1), 21.45°, 4.143 Å, rel. 100
- (0 0 4), 35.49°, 2.530 Å, rel. 83
- (1 -1 0), 19.52°, 4.548 Å, rel. 62
- (1 1 -2), 26.44°, 3.371 Å, rel. 41
- (0 2 0), 19.42°, 4.571 Å, rel. 39
- (0 2 2), 26.21°, 3.400 Å, rel. 32
- (2 0 0), 34.02°, 2.635 Å, rel. 30
- (1 1 2), 26.01°, 3.426 Å, rel. 29
- (1 -3 0), 34.16°, 2.625 Å, rel. 29
- (1 1 -5), 49.54°, 1.840 Å, rel. 27

Structure:
abc: 5.272 9.125 10.120
angles: 89.60 89.04 89.52
Space group P1 (No. 1)
Symmetry-distinct sites (fractional):
Li  0.000  0.000  0.000 [1 per cell]
Li  0.031  0.988  0.497 [1 per cell]
Li  0.527  0.485  0.477 [1 per cell]
Li  0.660  0.650  0.748 [1 per cell]
Fe  0.003  0.655  0.970 [1 per cell]
Fe  0.029  0.316  0.457 [1 per cell]
Fe  0.169  0.475  0.715 [1 per cell]
Fe  0.176  0.813  0.214 [1 per cell]
Fe  0.494  0.172  0.964 [1 per cell]
Fe  0.527  0.818  0.459 [1 per cell]
Fe  0.662  0.991  0.715 [1 per cell]
Fe  0.672  0.319  0.209 [1 per cell]
B  0.016  0.653  0.467 [1 per cell]
B  0.167  0.812  0.709 [1 per cell]
B  0.173  0.485  0.217 [1 per cell]
B  0.510  0.827  0.956 [1 per cell]
B  0.514  0.153  0.464 [1 per cell]
B  0.666  0.986  0.208 [1 per cell]
B  0.677  0.322  0.706 [1 per cell]
B  0.998  0.318  0.961 [1 per cell]
O  0.012  0.932  0.691 [1 per cell]
O  0.013  0.373  0.256 [1 per cell]
O  0.063  0.679  0.749 [1 per cell]
O  0.066  0.618  0.175 [1 per cell]
O  0.109  0.445  0.908 [1 per cell]
O  0.125  0.188  0.961 [1 per cell]
O  0.138  0.781  0.419 [1 per cell]
O  0.165  0.532  0.506 [1 per cell]
O  0.257  0.144  0.464 [1 per cell]
O  0.259  0.835  0.006 [1 per cell]
O  0.429  0.470  0.226 [1 per cell]
O  0.429  0.822  0.684 [1 per cell]
O  0.513  0.874  0.257 [1 per cell]
O  0.530  0.449  0.695 [1 per cell]
O  0.560  0.120  0.176 [1 per cell]
O  0.575  0.193  0.752 [1 per cell]
O  0.630  0.959  0.916 [1 per cell]
O  0.638  0.698  0.941 [1 per cell]
O  0.642  0.278  0.422 [1 per cell]
O  0.658  0.030  0.511 [1 per cell]
O  0.752  0.330  0.013 [1 per cell]
O  0.758  0.648  0.477 [1 per cell]
O  0.922  0.960  0.191 [1 per cell]
O  0.930  0.328  0.667 [1 per cell]



Entry 5:
Starting from a crystal structure in the Materials Project, relaxed with GGA+U, the X-ray powder pattern of LiFe2B2O6 was computed for copper Kα.
Peak positions follow from Bragg's law for the DFT cell and can differ from measured ones.

The 10 most intense peaks (15° ≤ 2θ ≤ 90°), most intense first:
- (1 1 -1), 21.45°, 4.142 Å, rel. 100
- (0 0 4), 35.25°, 2.546 Å, rel. 65
- (1 -1 0), 19.59°, 4.533 Å, rel. 52
- (0 2 2), 25.91°, 3.438 Å, rel. 46
- (1 1 0), 19.41°, 4.574 Å, rel. 30
- (1 -3 0), 34.09°, 2.630 Å, rel. 25
- (2 0 0), 34.23°, 2.620 Å, rel. 23
- (1 1 -5), 49.33°, 1.847 Å, rel. 20
- (1 1 -2), 26.46°, 3.368 Å, rel. 19
- (1 3 0), 33.84°, 2.649 Å, rel. 19

Structure:
abc: 5.240 9.170 10.188
angles: 88.77 89.46 89.51
Space group P1 (No. 1)
Symmetry-distinct sites (fractional):
Li  0.000  0.000  0.000 [1 per cell]
Li  0.172  0.150  0.266 [1 per cell]
Li  0.497  0.512  0.011 [1 per cell]
Li  0.681  0.666  0.719 [1 per cell]
Fe  0.021  0.330  0.494 [1 per cell]
Fe  0.165  0.821  0.239 [1 per cell]
Fe  0.174  0.490  0.735 [1 per cell]
Fe  0.507  0.171  0.983 [1 per cell]
Fe  0.510  0.842  0.486 [1 per cell]
Fe  0.671  0.329  0.245 [1 per cell]
Fe  0.679  0.001  0.731 [1 per cell]
Fe  0.994  0.671  0.987 [1 per cell]
B  0.011  0.331  0.988 [1 per cell]
B  0.018  0.670  0.500 [1 per cell]
B  0.168  0.490  0.224 [1 per cell]
B  0.174  0.825  0.739 [1 per cell]
B  0.495  0.838  0.985 [1 per cell]
B  0.503  0.161  0.475 [1 per cell]
B  0.677  0.338  0.748 [1 per cell]
B  0.678  0.005  0.234 [1 per cell]
O  0.029  0.368  0.268 [1 per cell]
O  0.037  0.948  0.755 [1 per cell]
O  0.048  0.618  0.192 [1 per cell]
O  0.064  0.688  0.775 [1 per cell]
O  0.129  0.537  0.541 [1 per cell]
O  0.131  0.457  0.945 [1 per cell]
O  0.145  0.201  0.002 [1 per cell]
O  0.171  0.776  0.443 [1 per cell]
O  0.242  0.842  0.023 [1 per cell]
O  0.249  0.167  0.455 [1 per cell]
O  0.426  0.823  0.692 [1 per cell]
O  0.429  0.475  0.206 [1 per cell]
O  0.532  0.896  0.291 [1 per cell]
O  0.538  0.136  0.191 [1 per cell]
O  0.539  0.467  0.746 [1 per cell]
O  0.567  0.209  0.794 [1 per cell]
O  0.622  0.038  0.529 [1 per cell]
O  0.622  0.971  0.957 [1 per cell]
O  0.624  0.707  0.970 [1 per cell]
O  0.659  0.277  0.434 [1 per cell]
O  0.750  0.335  0.023 [1 per cell]
O  0.763  0.693  0.521 [1 per cell]
O  0.930  0.337  0.707 [1 per cell]
O  0.934  0.001  0.214 [1 per cell]



Entry 6:
Starting from a crystal structure in the Materials Project, relaxed with GGA+U, the X-ray powder pattern of LiFe8B8O24 was computed for copper Kα.
Peak positions follow from Bragg's law for the DFT cell and can differ from measured ones.

The 10 most intense peaks (15° ≤ 2θ ≤ 90°), most intense first:
- (1 1 0), 21.27°, 4.177 Å, rel. 100
- (-1 1 2), 26.19°, 3.402 Å, rel. 96
- (0 2 -1), 19.69°, 4.509 Å, rel. 94
- (0 0 4), 35.48°, 2.530 Å, rel. 83
- (1 1 -3), 26.33°, 3.385 Å, rel. 39
- (0 2 0), 21.51°, 4.130 Å, rel. 32
- (1 -3 1), 34.16°, 2.625 Å, rel. 32
- (1 3 -2), 34.36°, 2.610 Å, rel. 30
- (2 0 -3), 38.21°, 2.355 Å, rel. 28
- (0 2 -2), 21.64°, 4.107 Å, rel. 26

Structure:
abc: 5.324 9.019 11.357
angles: 112.88 103.38 90.38
Space group P1 (No. 1)
Symmetry-distinct sites (fractional):
Li  0.000  0.000  0.000 [1 per cell]
Fe  0.000  0.322  0.970 [1 per cell]
Fe  0.056  0.021  0.722 [1 per cell]
Fe  0.252  0.895  0.472 [1 per cell]
Fe  0.317  0.935  0.220 [1 per cell]
Fe  0.492  0.810  0.968 [1 per cell]
Fe  0.552  0.521  0.721 [1 per cell]
Fe  0.749  0.396  0.471 [1 per cell]
Fe  0.803  0.439  0.219 [1 per cell]
B  0.000  0.651  0.969 [1 per cell]
B  0.046  0.685  0.720 [1 per cell]
B  0.257  0.557  0.470 [1 per cell]
B  0.298  0.274  0.214 [1 per cell]
B  0.513  0.151  0.972 [1 per cell]
B  0.550  0.184  0.722 [1 per cell]
B  0.760  0.061  0.473 [1 per cell]
B  0.803  0.777  0.223 [1 per cell]
O  0.069  0.832  0.277 [1 per cell]
O  0.115  0.520  0.978 [1 per cell]
O  0.135  0.373  0.170 [1 per cell]
O  0.143  0.805  0.022 [1 per cell]
O  0.203  0.122  0.192 [1 per cell]
O  0.237  0.144  0.929 [1 per cell]
O  0.307  0.680  0.765 [1 per cell]
O  0.353  0.701  0.477 [1 per cell]
O  0.391  0.038  0.676 [1 per cell]
O  0.414  0.457  0.516 [1 per cell]
O  0.454  0.318  0.715 [1 per cell]
O  0.494  0.007  0.419 [1 per cell]
O  0.559  0.330  0.274 [1 per cell]
O  0.631  0.019  0.971 [1 per cell]
O  0.642  0.872  0.175 [1 per cell]
O  0.661  0.302  0.018 [1 per cell]
O  0.706  0.636  0.219 [1 per cell]
O  0.741  0.641  0.910 [1 per cell]
O  0.818  0.185  0.776 [1 per cell]
O  0.856  0.200  0.474 [1 per cell]
O  0.879  0.541  0.667 [1 per cell]
O  0.919  0.964  0.523 [1 per cell]
O  0.952  0.830  0.732 [1 per cell]
O  0.992  0.502  0.414 [1 per cell]